Theoretical X-ray diffraction stick pattern of FeCu2H21O10F8 for Cu Kα (λ = 1.5418 Å), from the PBE+U geometry in the Materials Project.
Lines closer than 0.1° are merged.

Crystal structure
```
data_FeCu2H21O10F8
_chemical_formula_sum 'Fe1 Cu2 H21 O10 F8'
_space_group_name_H-M_alt 'P 1'
_space_group_IT_number 1
_cell_length_a 6.9577
_cell_length_b 7.3627
_cell_length_c 8.1788
_cell_angle_alpha 107.00
_cell_angle_beta 107.40
_cell_angle_gamma 95.20
loop_
_space_group_symop_operation_xyz
'x,y,z'
loop_
_atom_site_label
_atom_site_fract_x
_atom_site_fract_y
_atom_site_fract_z
Fe1 0.0000 0.0000 0.0000
Cu1 0.3853 0.4413 0.7658
Cu2 0.6169 0.5574 0.2341
H1 0.0330 0.7489 0.4718
H2 0.0903 0.3069 0.4058
H3 0.1427 0.3811 0.9451
H4 0.1934 0.6063 0.9861
H5 0.2201 0.9174 0.3429
H6 0.3292 0.7756 0.4356
H7 0.3394 0.1234 0.8305
H8 0.3539 0.8095 0.8352
H9 0.3582 0.0752 0.6363
H10 0.4332 0.2229 0.2130
H11 0.5180 0.5045 0.5109
H12 0.5658 0.7767 0.7873
H13 0.6415 0.9225 0.3594
H14 0.6440 0.1884 0.1635
H15 0.6575 0.8744 0.1649
H16 0.6827 0.2225 0.5667
H17 0.7837 0.0728 0.6524
H18 0.8060 0.3922 0.0128
H19 0.8556 0.6177 0.0538
H20 0.9153 0.6941 0.5937
H21 0.9744 0.2483 0.5270
O1 0.0918 0.3370 0.5307
O2 0.2510 0.8814 0.4528
O3 0.2534 0.4880 0.9582
O4 0.4120 0.1779 0.7616
O5 0.4329 0.7135 0.7884
O6 0.5665 0.2851 0.2116
O7 0.5856 0.8200 0.2341
O8 0.7456 0.5104 0.0411
O9 0.7554 0.1133 0.5446
O10 0.9121 0.6651 0.4683
F1 0.0360 0.7564 0.0508
F2 0.2090 0.9654 0.8816
F3 0.2198 0.1362 0.2309
F4 0.4564 0.5840 0.4067
F5 0.5735 0.4258 0.6120
F6 0.7804 0.8646 0.7691
F7 0.7909 0.0345 0.1176
F8 0.9633 0.2434 0.9491
```

Most intense lines, 2θ from 15° to 90°, low angle first:
| (hkl) | two_theta | I_rel |
| --- | --- | --- |
| 1 -1 0 | 16.8 | 100 |
| 1 1 -1 | 18.7 | 55 |
| 1 1 0 | 20.5 | 46 |
| 1 0 1 | 21.1 | 45 |
| 1 0 -2 | 23.3 | 49 |
| 0 2 -1 | 24.5 | 33 |
| 2 0 -1 | 25.8 | 49 |
| 1 0 2 | 31.8 | 62 |
| 2 1 1 | 39.6 | 24 |
| -3 1 2 | 42.6 | 25 |